# La4Ti5S12O2
Computed X-ray powder pattern, CuKα. Input: a structure optimized by DFT (PBE).
Kinematic intensities with the Lorentz-polarization factor, no thermal factor.

Main lines, by angle (2θ from 10° to 90°):
| hkl | 2θ/deg | intensity |
| --- | --- | --- |
| 2 0 0 | 17.0 | 65.9 |
| 0 2 2 | 27.2 | 84.6 |
| 2 2 2 | 32.3 | 83.5 |
| 3 2 0 | 33.4 | 100.0 |
| 4 0 0 | 34.5 | 49.7 |
| 2 2 -3 | 37.7 | 44.7 |

Structural model:
abc: 10.395 8.451 10.416
angles: 90.00 90.03 90.00
Space group Pm (No. 6)
One atom of each set of equivalent atoms:
La  0.000  0.231  0.000 [2 per cell]
La  0.575  0.242  0.588 [2 per cell]
La  0.590  0.235  0.012 [2 per cell]
La  0.999  0.236  0.588 [2 per cell]
Ti  0.090  0.000  0.296 [1 per cell]
Ti  0.289  0.000  0.505 [1 per cell]
Ti  0.292  0.000  0.095 [1 per cell]
Ti  0.294  0.000  0.794 [1 per cell]
Ti  0.297  0.500  0.305 [1 per cell]
Ti  0.320  0.500  0.972 [1 per cell]
Ti  0.499  0.000  0.298 [1 per cell]
Ti  0.790  0.000  0.301 [1 per cell]
Ti  0.810  0.500  0.802 [1 per cell]
Ti  0.979  0.500  0.270 [1 per cell]
S  0.041  0.500  0.797 [1 per cell]
S  0.053  0.000  0.795 [1 per cell]
S  0.117  0.500  0.453 [1 per cell]
S  0.142  0.500  0.121 [1 per cell]
S  0.287  0.219  0.639 [2 per cell]
S  0.288  0.184  0.294 [2 per cell]
S  0.292  0.218  0.949 [2 per cell]
S  0.450  0.500  0.466 [1 per cell]
S  0.464  0.500  0.142 [1 per cell]
S  0.522  0.500  0.824 [1 per cell]
S  0.527  0.000  0.798 [1 per cell]
S  0.633  0.219  0.299 [2 per cell]
S  0.786  0.227  0.802 [2 per cell]
S  0.789  0.500  0.564 [1 per cell]
S  0.790  0.000  0.536 [1 per cell]
S  0.794  0.000  0.063 [1 per cell]
S  0.812  0.500  0.060 [1 per cell]
S  0.943  0.219  0.295 [2 per cell]
O  0.099  0.000  0.485 [1 per cell]
O  0.101  0.000  0.106 [1 per cell]
O  0.477  0.000  0.486 [1 per cell]
O  0.481  0.000  0.108 [1 per cell]

=====

# Ho6TmTl6
Computed X-ray powder pattern, CuKα. Input: a structure optimized by DFT (PBE).
Kinematic intensities with the Lorentz-polarization factor, no thermal factor.

Main lines, by angle (2θ from 10° to 90°):
| hkl | 2θ/deg | intensity |
| --- | --- | --- |
| 1 1 0 | 27.8 | 25.3 |
| 2 0 0 | 32.3 | 57.5 |
| 1 1 2 | 32.7 | 67.5 |
| 0 0 4 | 34.1 | 29.7 |
| 2 0 2 | 36.6 | 100.0 |
| 2 2 0 | 57.5 | 33.2 |

Structural model:
abc: 6.4072 6.4072 10.5065
angles: 90.00 90.00 120.00
Space group P6/mmm (No. 191)
One atom of each set of equivalent atoms:
Ho  0.0000  0.0000  0.1638 [2 per cell]
Ho  0.3333  0.6667  0.0000 [2 per cell]
Ho  0.3333  0.6667  0.5000 [2 per cell]
Tm  0.0000  0.0000  0.5000 [1 per cell]
Tl  0.0000  0.5000  0.2536 [6 per cell]

=====

# BH2Rh4
Computed X-ray powder pattern, CuKα. Input: a structure optimized by DFT (PBE).
Kinematic intensities with the Lorentz-polarization factor, no thermal factor.

Main lines, by angle (2θ from 10° to 90°):
| hkl | 2θ/deg | intensity |
| --- | --- | --- |
| 1 1 -1 | 35.8 | 100.0 |
| 0 0 2 | 38.4 | 41.3 |
| 2 0 0 | 39.6 | 38.0 |
| 1 1 1 | 42.8 | 64.2 |
| 2 0 -2 | 44.9 | 28.0 |
| 1 1 -3 | 62.9 | 20.2 |

Structural model:
abc: 4.850 3.197 5.000
angles: 90.00 110.31 90.00
Space group P2/m (No. 10)
One atom of each set of equivalent atoms:
B  0.000  0.000  0.000 [1 per cell]
H  0.338  0.500  0.631 [2 per cell]
Rh  0.247  0.500  0.244 [2 per cell]
Rh  0.253  0.000  0.748 [2 per cell]

=====

# Na3Hg4Sb
Computed X-ray powder pattern, CuKα. Input: a structure optimized by DFT (PBE).
Kinematic intensities with the Lorentz-polarization factor, no thermal factor.

Main lines, by angle (2θ from 10° to 90°):
| hkl | 2θ/deg | intensity |
| --- | --- | --- |
| 0 1 2 | 20.9 | 48.1 |
| 1 1 0 | 30.5 | 53.6 |
| 1 1 -1 | 33.7 | 94.3 |
| 1 -1 2 | 33.9 | 59.1 |
| 0 0 4 | 34.4 | 67.0 |
| -1 1 2 | 34.6 | 100.0 |

Structural model:
abc: 3.616 5.578 10.829
angles: 77.68 80.49 89.90
Space group P-1 (No. 2)
One atom of each set of equivalent atoms:
Na  0.000  0.000  0.000 [1 per cell]
Na  0.125  0.516  0.748 [2 per cell]
Hg  0.250  0.255  0.499 [2 per cell]
Hg  0.374  0.986  0.257 [2 per cell]
Sb  0.500  0.500  0.000 [1 per cell]

=====

# Sm2HoGe3Pt4
Computed X-ray powder pattern, CuKα. Input: a structure optimized by DFT (PBE).
Kinematic intensities with the Lorentz-polarization factor, no thermal factor.

Main lines, by angle (2θ from 10° to 90°):
| hkl | 2θ/deg | intensity |
| --- | --- | --- |
| 1 0 2 | 26.2 | 17.7 |
| 1 0 3 | 31.8 | 21.1 |
| 1 1 2 | 33.7 | 100.0 |
| 2 0 0 | 42.2 | 51.8 |
| 1 1 4 | 44.0 | 29.2 |
| 3 1 2 | 71.8 | 22.6 |

Structural model:
abc: 4.279 4.279 11.210
angles: 90.00 90.00 90.00
Space group P-4m2 (No. 115)
One atom of each set of equivalent atoms:
Sm  0.000  0.500  0.221 [2 per cell]
Ho  0.000  0.000  0.500 [1 per cell]
Ge  0.000  0.500  0.875 [2 per cell]
Ge  0.500  0.500  0.500 [1 per cell]
Pt  0.000  0.000  0.000 [1 per cell]
Pt  0.000  0.500  0.656 [2 per cell]
Pt  0.500  0.500  0.000 [1 per cell]

=====

# Np2Ti2P2C
Computed X-ray powder pattern, CuKα. Input: a structure optimized by DFT (PBE).
Kinematic intensities with the Lorentz-polarization factor, no thermal factor.

Main lines, by angle (2θ from 10° to 90°):
| hkl | 2θ/deg | intensity |
| --- | --- | --- |
| 1 0 1 | 22.6 | 38.4 |
| 1 0 3 | 28.7 | 100.0 |
| 1 1 0 | 30.9 | 49.0 |
| 1 1 2 | 33.4 | 45.9 |
| 2 0 0 | 44.2 | 37.5 |
| 2 1 3 | 53.6 | 38.3 |

Structural model:
abc: 4.094 4.094 14.328
angles: 90.00 90.00 90.00
Space group I4/mmm (No. 139)
One atom of each set of equivalent atoms:
Np  0.000  0.000  0.170 [4 per cell]
Ti  0.000  0.500  0.000 [4 per cell]
P  0.000  0.000  0.376 [4 per cell]
C  0.000  0.000  0.000 [2 per cell]